Theoretical X-ray diffraction stick pattern
Compound: Tb7Te2Os2
Radiation: Cu Kα X-rays
Structure: the GGA-PBE geometry in Alexandria
Kinematic intensities with the Lorentz-polarization factor, no thermal factor.

Most intense lines, 2θ from 10° to 90°, by angle:
- 2θ 11.1, intensity 26
- 2θ 29.6, intensity 17
- 2θ 29.9, intensity 35
- 2θ 33.1, intensity 100
- 2θ 33.3, intensity 42
- 2θ 34.0, intensity 41
- 2θ 36.5, intensity 21
- 2θ 38.3, intensity 29
- 2θ 45.3, intensity 35
- 2θ 57.4, intensity 18

Atomic structure:
```
data_Tb7Te2Os2
_cell_length_a 4.005
_cell_length_b 15.922
_cell_length_c 9.363
_cell_angle_alpha 90.00
_cell_angle_beta 90.00
_cell_angle_gamma 90.00
_symmetry_space_group_name_H-M 'I m m 2'
_symmetry_Int_Tables_number 44
_symmetry_space_group_name_Hall 'I 2 -2'
loop_
_atom_site_label
_atom_site_type_symbol
_atom_site_fract_x
_atom_site_fract_y
_atom_site_fract_z
Tb1 Tb 0.000 0.000 0.000
Tb2 Tb 0.000 0.132 0.583
Tb3 Tb 0.000 0.316 0.374
Tb4 Tb 0.000 0.349 0.739
Te1 Te 0.000 0.000 0.333
Te2 Te 0.000 0.500 0.236
Os1 Os 0.000 0.240 0.069
```

---

Theoretical X-ray diffraction stick pattern
Compound: TbTh2Os
Radiation: Cu Kα X-rays
Structure: the GGA-PBE geometry in Alexandria
Kinematic intensities with the Lorentz-polarization factor, no thermal factor.

Most intense lines, 2θ from 10° to 90°, by angle:
- 2θ 30.6, intensity 41
- 2θ 30.8, intensity 77
- 2θ 32.2, intensity 79
- 2θ 33.2, intensity 58
- 2θ 33.7, intensity 100
- 2θ 35.9, intensity 51
- 2θ 36.9, intensity 48
- 2θ 39.8, intensity 28
- 2θ 53.2, intensity 38
- 2θ 56.5, intensity 27

Atomic structure:
```
data_TbTh2Os
_cell_length_a 7.283
_cell_length_b 9.830
_cell_length_c 6.326
_cell_angle_alpha 90.00
_cell_angle_beta 90.00
_cell_angle_gamma 90.00
_symmetry_space_group_name_H-M 'P n m a'
_symmetry_Int_Tables_number 62
_symmetry_space_group_name_Hall '-P 2ac 2n'
loop_
_atom_site_label
_atom_site_type_symbol
_atom_site_fract_x
_atom_site_fract_y
_atom_site_fract_z
Tb1 Tb 0.038 0.250 0.145
Th1 Th 0.171 0.062 0.667
Os1 Os 0.118 0.750 0.407
```